Starting from a crystal structure in Alexandria, relaxed with GGA+U, the XRD peak list of TeWNCl4F5 was calculated for λ = 1.5418 Å (Cu Kα).

Cell lengths 6.450, 6.522, 13.950 Å; angles 84.84, 86.24, 81.53 degrees
Element x y z (fractional)
Te (0.242, 0.290, 0.376)
Te (0.758, 0.710, 0.624)
W (0.469, 0.523, 0.146)
W (0.531, 0.477, 0.854)
N (0.345, 0.405, 0.249)
N (0.655, 0.595, 0.751)
Cl (0.195, 0.780, 0.103)
Cl (0.220, 0.706, 0.858)
Cl (0.351, 0.319, 0.027)
Cl (0.367, 0.239, 0.788)
Cl (0.633, 0.761, 0.212)
Cl (0.649, 0.681, 0.973)
Cl (0.780, 0.294, 0.142)
Cl (0.805, 0.220, 0.897)
F (0.028, 0.566, 0.642)
F (0.146, 0.181, 0.497)
F (0.167, 0.062, 0.321)
F (0.313, 0.516, 0.435)
F (0.491, 0.860, 0.601)
F (0.509, 0.140, 0.399)
F (0.687, 0.484, 0.565)
F (0.833, 0.938, 0.679)
F (0.854, 0.819, 0.503)
F (0.972, 0.434, 0.358)

Main lines, most intense first (2θ = 5–70°):
hkl 0 1 0, 13.77°, I 100; hkl 1 0 1, 14.99°, I 92; hkl 1 0 0, 13.90°, I 65; hkl 1 -1 0, 20.98°, I 63; hkl 1 1 1, 18.62°, I 54; hkl 1 1 -3, 27.90°, I 51; hkl 1 0 -3, 24.38°, I 50; hkl 0 1 2, 18.03°, I 46; hkl 1 1 -1, 19.87°, I 45; hkl 0 1 1, 14.71°, I 44